Record 1
The following is a simulated powder diffractogram of DyHo4. It was derived from DFT lattice parameters and positions (PBE), using Cu Kα, 1.54184 Å.

Main lines, low angle first (15° ≤ 2θ ≤ 90°):
2θ = 31.1°, rel. 100.0
2θ = 31.2°, rel. 33.1
2θ = 36.1°, rel. 67.3
2θ = 51.9°, rel. 24.0
2θ = 52.1°, rel. 23.8
2θ = 61.8°, rel. 28.5

Structural model:
Unit cell a=6.0951 b=3.5233 c=14.4636 alpha=90.00 beta=97.92 gamma=90.00
Sites, in units of the cell vectors:
Dy  0.0000  0.0000  0.0000
Dy  0.5000  0.5000  0.0000
Ho  0.1001  0.5000  0.7995
Ho  0.2002  0.0000  0.5998
Ho  0.2998  0.5000  0.4002
Ho  0.3999  0.0000  0.2005
Ho  0.6001  0.0000  0.7995
Ho  0.7002  0.5000  0.5998
Ho  0.7998  0.0000  0.4002
Ho  0.8999  0.5000  0.2005

=====

Record 2
The following is a simulated powder diffractogram of Y2ErCd. It was derived from DFT lattice parameters and positions (PBE), using Cu Kα, 1.54184 Å.

Main lines, low angle first (15° ≤ 2θ ≤ 90°):
2θ = 29.1°, rel. 27.1
2θ = 31.8°, rel. 100.0
2θ = 33.6°, rel. 37.0
2θ = 34.7°, rel. 65.5
2θ = 50.5°, rel. 36.7
2θ = 62.0°, rel. 36.6

Structural model:
Unit cell a=3.6142 b=3.6142 c=32.0370 alpha=90.00 beta=90.00 gamma=120.00
Sites, in units of the cell vectors:
Y  0.0000  0.0000  0.0000
Y  0.0000  0.0000  0.1774
Y  0.3333  0.6667  0.6667
Y  0.3333  0.6667  0.8441
Y  0.6667  0.3333  0.3333
Y  0.6667  0.3333  0.5108
Er  0.0000  0.0000  0.7554
Er  0.3333  0.6667  0.4221
Er  0.6667  0.3333  0.0887
Cd  0.0000  0.0000  0.5890
Cd  0.3333  0.6667  0.2556
Cd  0.6667  0.3333  0.9223

=====

Record 3
The following is a simulated powder diffractogram of CsBa2Zr2. It was derived from DFT lattice parameters and positions (PBE), using Cu Kα, 1.54184 Å.

Main lines, low angle first (15° ≤ 2θ ≤ 90°):
2θ = 22.5°, rel. 100.0
2θ = 23.5°, rel. 80.3
2θ = 24.2°, rel. 65.5
2θ = 27.6°, rel. 55.1
2θ = 27.9°, rel. 59.5
2θ = 31.7°, rel. 36.3

Structural model:
Unit cell a=16.8930 b=16.8930 c=4.4275 alpha=96.78 beta=96.78 gamma=25.15
Sites, in units of the cell vectors:
Cs  0.2091  0.2091  0.1962
Cs  0.7909  0.7909  0.8038
Ba  0.0676  0.0676  0.0616
Ba  0.3741  0.3741  0.3874
Ba  0.6259  0.6259  0.6126
Ba  0.9324  0.9324  0.9384
Zr  0.2975  0.7025  0.5000
Zr  0.4558  0.4558  0.9610
Zr  0.5442  0.5442  0.0390
Zr  0.7025  0.2975  0.5000

=====

Record 4
The following is a simulated powder diffractogram of LiErCdHg4. It was derived from DFT lattice parameters and positions (PBE), using Cu Kα, 1.54184 Å.

Main lines, low angle first (15° ≤ 2θ ≤ 90°):
2θ = 21.5°, rel. 99.3
2θ = 35.1°, rel. 85.7
2θ = 36.3°, rel. 54.1
2θ = 36.4°, rel. 100.0
2θ = 43.8°, rel. 58.6
2θ = 74.2°, rel. 36.5

Structural model:
Unit cell a=8.9646 b=8.9646 c=5.6918 alpha=90.00 beta=90.00 gamma=112.88
Sites, in units of the cell vectors:
Li  0.1402  0.8598  0.7500
Li  0.8598  0.1402  0.2500
Er  0.3541  0.6459  0.7500
Er  0.6459  0.3541  0.2500
Cd  0.2437  0.7563  0.2500
Cd  0.7563  0.2437  0.7500
Hg  0.0000  0.5000  0.0000
Hg  0.0000  0.5000  0.5000
Hg  0.0451  0.9549  0.2500
Hg  0.4455  0.5545  0.2500
Hg  0.5000  0.0000  0.0000
Hg  0.5000  0.0000  0.5000
Hg  0.5545  0.4455  0.7500
Hg  0.9549  0.0451  0.7500

=====

Record 5
The following is a simulated powder diffractogram of CoReSe. It was derived from DFT lattice parameters and positions (PBE), using Cu Kα, 1.54184 Å.

Main lines, low angle first (15° ≤ 2θ ≤ 90°):
2θ = 18.1°, rel. 26.0
2θ = 31.7°, rel. 23.7
2θ = 41.3°, rel. 100.0
2θ = 43.4°, rel. 43.4
2θ = 73.8°, rel. 17.6
2θ = 78.2°, rel. 31.0

Structural model:
Unit cell a=2.9492 b=2.9492 c=9.7820 alpha=90.00 beta=90.00 gamma=90.00
Sites, in units of the cell vectors:
Co  0.0000  0.0000  0.0000
Co  0.5000  0.5000  0.5000
Re  0.0000  0.0000  0.3388
Re  0.5000  0.5000  0.8388
Se  0.0000  0.0000  0.6745
Se  0.5000  0.5000  0.1745

=====

Record 6
The following is a simulated powder diffractogram of SmCd4Rh2. It was derived from DFT lattice parameters and positions (PBE), using Cu Kα, 1.54184 Å.

Main lines, low angle first (15° ≤ 2θ ≤ 90°):
2θ = 34.0°, rel. 100.0
2θ = 38.4°, rel. 9.7
2θ = 40.3°, rel. 15.6
2θ = 42.8°, rel. 43.9
2θ = 62.2°, rel. 19.1
2θ = 72.8°, rel. 19.6

Structural model:
Unit cell a=4.2213 b=16.8862 c=4.2214 alpha=90.00 beta=90.00 gamma=90.00
Sites, in units of the cell vectors:
Sm  0.0000  0.0000  0.0000
Sm  0.5000  0.5000  0.0000
Cd  0.0000  0.1789  0.5000
Cd  0.0000  0.3235  0.0000
Cd  0.0000  0.6765  0.0000
Cd  0.0000  0.8211  0.5000
Cd  0.5000  0.1765  0.0000
Cd  0.5000  0.3211  0.5000
Cd  0.5000  0.6789  0.5000
Cd  0.5000  0.8235  0.0000
Rh  0.0000  0.4274  0.5000
Rh  0.0000  0.5726  0.5000
Rh  0.5000  0.0726  0.5000
Rh  0.5000  0.9274  0.5000

=====

Record 7
The following is a simulated powder diffractogram of Nd4DyHo2Mg. It was derived from DFT lattice parameters and positions (PBE), using Cu Kα, 1.54184 Å.

Main lines, low angle first (15° ≤ 2θ ≤ 90°):
2θ = 31.0°, rel. 54.2
2θ = 31.8°, rel. 100.0
2θ = 44.4°, rel. 20.2
2θ = 55.6°, rel. 41.1
2θ = 57.2°, rel. 18.4
2θ = 66.5°, rel. 11.7

Structural model:
Unit cell a=5.7748 b=5.7748 c=7.7558 alpha=90.00 beta=90.00 gamma=90.00
Sites, in units of the cell vectors:
Nd  0.0000  0.5000  0.2397
Nd  0.0000  0.5000  0.7603
Nd  0.5000  0.0000  0.2397
Nd  0.5000  0.0000  0.7603
Dy  0.0000  0.0000  0.5000
Ho  0.0000  0.0000  0.0000
Ho  0.5000  0.5000  0.5000
Mg  0.5000  0.5000  0.0000

=====

Record 8
The following is a simulated powder diffractogram of KTl2TcF8. It was derived from DFT lattice parameters and positions (PBE), using Cu Kα, 1.54184 Å.

Main lines, low angle first (15° ≤ 2θ ≤ 90°):
2θ = 21.7°, rel. 87.1
2θ = 24.8°, rel. 65.6
2θ = 26.7°, rel. 100.0
2θ = 29.2°, rel. 51.1
2θ = 39.4°, rel. 53.3
2θ = 43.1°, rel. 31.3

Structural model:
Unit cell a=4.8829 b=7.9072 c=6.2977 alpha=90.00 beta=97.74 gamma=90.00
Sites, in units of the cell vectors:
K  0.0000  0.0000  0.0000
Tl  0.5000  0.2465  0.5000
Tl  0.5000  0.7535  0.5000
Tc  0.0000  0.5000  0.0000
F  0.0920  0.3218  0.8091
F  0.0920  0.6782  0.8091
F  0.3576  0.5000  0.1630
F  0.4646  0.0000  0.2657
F  0.5354  0.0000  0.7343
F  0.6424  0.5000  0.8370
F  0.9080  0.3218  0.1909
F  0.9080  0.6782  0.1909